Record 1
# Tl2CdIn2Hg7
Theoretical powder X-ray diffraction pattern, Cu Kα, 1.54184 Å. Input: a structure optimized by DFT (GGA-PBE).
Peak positions follow from Bragg's law for the DFT cell and can differ from measured ones.

Main lines, low angle first (5° ≤ 2θ ≤ 70°):
2θ = 30.50°, I = 1000; 2θ = 34.91°, I = 690; 2θ = 35.85°, I = 643; 2θ = 43.68°, I = 380; 2θ = 56.46°, I = 178; 2θ = 57.08°, I = 170

Atomic structure:
```
data_Tl2CdIn2Hg7
_chemical_formula_sum 'Tl2 Cd1 In2 Hg7'
_space_group_name_H-M_alt 'P 1'
_space_group_IT_number 1
_cell_length_a 10.3829
_cell_length_b 10.3829
_cell_length_c 5.8629
_cell_angle_alpha 104.32
_cell_angle_beta 104.32
_cell_angle_gamma 32.81
loop_
_space_group_symop_operation_xyz
'x,y,z'
loop_
_atom_site_label
_atom_site_type_symbol
_atom_site_fract_x
_atom_site_fract_y
_atom_site_fract_z
Tl1 Tl 0.0000 0.0000 0.0000
Tl2 Tl 0.4999 0.4999 0.4973
Cd1 Cd 0.7500 0.7500 0.2500
In1 In 0.0883 0.0883 0.5852
In2 In 0.4116 0.4116 0.9118
Hg1 Hg 0.1699 0.1699 0.1711
Hg2 Hg 0.2500 0.2500 0.7477
Hg3 Hg 0.3300 0.3300 0.3250
Hg4 Hg 0.5895 0.5895 0.0874
Hg5 Hg 0.6698 0.6698 0.6709
Hg6 Hg 0.8301 0.8301 0.8288
Hg7 Hg 0.9104 0.9104 0.4111
```

---

Record 2
# Tl2Cd5In2Hg3
Theoretical powder X-ray diffraction pattern, Cu Kα, 1.54184 Å. Input: a structure optimized by DFT (GGA-PBE).
Peak positions follow from Bragg's law for the DFT cell and can differ from measured ones.

Main lines, low angle first (5° ≤ 2θ ≤ 70°):
2θ = 28.11°, I = 421; 2θ = 28.68°, I = 428; 2θ = 33.07°, I = 475; 2θ = 36.51°, I = 1000; 2θ = 40.18°, I = 681; 2θ = 58.12°, I = 228

Atomic structure:
```
data_Tl2Cd5In2Hg3
_chemical_formula_sum 'Tl2 Cd5 In2 Hg3'
_space_group_name_H-M_alt 'P 1'
_space_group_IT_number 1
_cell_length_a 15.9074
_cell_length_b 15.9074
_cell_length_c 15.9074
_cell_angle_alpha 163.78
_cell_angle_beta 163.78
_cell_angle_gamma 23.02
loop_
_space_group_symop_operation_xyz
'x,y,z'
loop_
_atom_site_label
_atom_site_type_symbol
_atom_site_fract_x
_atom_site_fract_y
_atom_site_fract_z
Tl1 Tl 0.2414 0.2414 0.0000
Tl2 Tl 0.7586 0.7586 0.0000
Cd1 Cd 0.0718 0.5718 0.5000
Cd2 Cd 0.4282 0.9282 0.5000
Cd3 Cd 0.5000 0.5000 0.0000
Cd4 Cd 0.5718 0.0718 0.5000
Cd5 Cd 0.9282 0.4282 0.5000
In1 In 0.3459 0.3459 0.0000
In2 In 0.6541 0.6541 0.0000
Hg1 Hg 0.0000 0.0000 0.0000
Hg2 Hg 0.1432 0.1432 0.0000
Hg3 Hg 0.8568 0.8568 0.0000
```

---

Record 3
# Tl3Cd2In4Hg2
Theoretical powder X-ray diffraction pattern, Cu Kα, 1.54184 Å. Input: a structure optimized by DFT (GGA-PBE).
Peak positions follow from Bragg's law for the DFT cell and can differ from measured ones.

Main lines, low angle first (5° ≤ 2θ ≤ 70°):
2θ = 6.95°, I = 193; 2θ = 28.55°, I = 271; 2θ = 33.53°, I = 1000; 2θ = 34.21°, I = 750; 2θ = 48.66°, I = 266; 2θ = 60.39°, I = 286

Atomic structure:
```
data_Tl3Cd2In4Hg2
_chemical_formula_sum 'Tl3 Cd2 In4 Hg2'
_space_group_name_H-M_alt 'P 1'
_space_group_IT_number 1
_cell_length_a 5.3451
_cell_length_b 5.3451
_cell_length_c 12.7195
_cell_angle_alpha 90.00
_cell_angle_beta 90.00
_cell_angle_gamma 120.00
loop_
_space_group_symop_operation_xyz
'x,y,z'
loop_
_atom_site_label
_atom_site_type_symbol
_atom_site_fract_x
_atom_site_fract_y
_atom_site_fract_z
Tl1 Tl 0.0000 0.0000 0.0000
Tl2 Tl 0.0000 0.0000 0.2793
Tl3 Tl 0.0000 0.0000 0.7207
Cd1 Cd 0.3333 0.6667 0.6244
Cd2 Cd 0.6667 0.3333 0.3756
In1 In 0.3333 0.6667 0.3858
In2 In 0.3333 0.6667 0.8760
In3 In 0.6667 0.3333 0.1240
In4 In 0.6667 0.3333 0.6142
Hg1 Hg 0.3333 0.6667 0.1297
Hg2 Hg 0.6667 0.3333 0.8703
```

---

Record 4
# YCdInHg
Theoretical powder X-ray diffraction pattern, Cu Kα, 1.54184 Å. Input: a structure optimized by DFT (GGA-PBE).
Peak positions follow from Bragg's law for the DFT cell and can differ from measured ones.

Main lines, low angle first (5° ≤ 2θ ≤ 70°):
2θ = 33.80°, I = 1000; 2θ = 37.89°, I = 366; 2θ = 41.78°, I = 139; 2θ = 57.67°, I = 211; 2θ = 65.78°, I = 141; 2θ = 65.89°, I = 141

Atomic structure:
```
data_YCdInHg
_chemical_formula_sum 'Y1 Cd1 In1 Hg1'
_space_group_name_H-M_alt 'P 1'
_space_group_IT_number 1
_cell_length_a 4.3236
_cell_length_b 4.7438
_cell_length_c 4.7539
_cell_angle_alpha 90.00
_cell_angle_beta 90.00
_cell_angle_gamma 90.00
loop_
_space_group_symop_operation_xyz
'x,y,z'
loop_
_atom_site_label
_atom_site_type_symbol
_atom_site_fract_x
_atom_site_fract_y
_atom_site_fract_z
Y1 Y 0.0000 0.0000 0.0000
Cd1 Cd 0.0000 0.5000 0.5000
In1 In 0.5000 0.5000 0.0000
Hg1 Hg 0.5000 0.0000 0.5000
```

---

Record 5
# ZnCdInHg2
Theoretical powder X-ray diffraction pattern, Cu Kα, 1.54184 Å. Input: a structure optimized by DFT (GGA-PBE).
Peak positions follow from Bragg's law for the DFT cell and can differ from measured ones.

Main lines, low angle first (5° ≤ 2θ ≤ 70°):
2θ = 29.64°, I = 1000; 2θ = 34.01°, I = 552; 2θ = 35.04°, I = 255; 2θ = 48.85°, I = 198; 2θ = 49.63°, I = 379; 2θ = 58.19°, I = 301

Atomic structure:
```
data_ZnCdInHg2
_chemical_formula_sum 'Zn1 Cd1 In1 Hg2'
_space_group_name_H-M_alt 'P 1'
_space_group_IT_number 1
_cell_length_a 5.2728
_cell_length_b 5.2728
_cell_length_c 5.1212
_cell_angle_alpha 90.00
_cell_angle_beta 90.00
_cell_angle_gamma 90.00
loop_
_space_group_symop_operation_xyz
'x,y,z'
loop_
_atom_site_label
_atom_site_type_symbol
_atom_site_fract_x
_atom_site_fract_y
_atom_site_fract_z
Zn1 Zn 0.0000 0.0000 0.0000
Cd1 Cd 0.0000 0.0000 0.5000
In1 In 0.5000 0.5000 0.5000
Hg1 Hg 0.0000 0.5000 0.0000
Hg2 Hg 0.5000 0.0000 0.0000
```

---

Record 6
# CdHg2Ir
Theoretical powder X-ray diffraction pattern, Cu Kα, 1.54184 Å. Input: a structure optimized by DFT (GGA-PBE).
Peak positions follow from Bragg's law for the DFT cell and can differ from measured ones.

Main lines, low angle first (5° ≤ 2θ ≤ 70°):
2θ = 22.75°, I = 33; 2θ = 26.32°, I = 13; 2θ = 37.57°, I = 1000; 2θ = 44.37°, I = 20; 2θ = 54.18°, I = 175; 2θ = 67.80°, I = 358

Atomic structure:
```
data_CdHg2Ir
_chemical_formula_sum 'Cd1 Hg2 Ir1'
_space_group_name_H-M_alt 'P 1'
_space_group_IT_number 1
_cell_length_a 4.7878
_cell_length_b 4.7878
_cell_length_c 4.7878
_cell_angle_alpha 60.00
_cell_angle_beta 60.00
_cell_angle_gamma 60.00
loop_
_space_group_symop_operation_xyz
'x,y,z'
loop_
_atom_site_label
_atom_site_type_symbol
_atom_site_fract_x
_atom_site_fract_y
_atom_site_fract_z
Cd1 Cd 0.0000 0.0000 0.0000
Hg1 Hg 0.5000 0.5000 0.5000
Hg2 Hg 0.7500 0.7500 0.7500
Ir1 Ir 0.2500 0.2500 0.2500
```

---

Record 7
# CdHg2IrO6
Theoretical powder X-ray diffraction pattern, Cu Kα, 1.54184 Å. Input: a structure optimized by DFT (GGA-PBE).
Peak positions follow from Bragg's law for the DFT cell and can differ from measured ones.

Main lines, low angle first (5° ≤ 2θ ≤ 70°):
2θ = 31.03°, I = 1000; 2θ = 44.45°, I = 227; 2θ = 55.15°, I = 341; 2θ = 55.32°, I = 102; 2θ = 64.59°, I = 65; 2θ = 64.77°, I = 73

Atomic structure:
```
data_CdHg2IrO6
_chemical_formula_sum 'Cd1 Hg2 Ir1 O6'
_space_group_name_H-M_alt 'P 1'
_space_group_IT_number 1
_cell_length_a 5.7573
_cell_length_b 5.7573
_cell_length_c 5.7573
_cell_angle_alpha 60.17
_cell_angle_beta 60.17
_cell_angle_gamma 60.17
loop_
_space_group_symop_operation_xyz
'x,y,z'
loop_
_atom_site_label
_atom_site_type_symbol
_atom_site_fract_x
_atom_site_fract_y
_atom_site_fract_z
Cd1 Cd 0.0000 0.0000 0.0000
Hg1 Hg 0.2483 0.2483 0.2483
Hg2 Hg 0.7517 0.7517 0.7517
Ir1 Ir 0.5000 0.5000 0.5000
O1 O 0.1642 0.3853 0.7123
O2 O 0.2877 0.8358 0.6147
O3 O 0.3853 0.7123 0.1642
O4 O 0.6147 0.2877 0.8358
O5 O 0.7123 0.1642 0.3853
O6 O 0.8358 0.6147 0.2877
```

---

Record 8
# K2Cd7Hg12
Theoretical powder X-ray diffraction pattern, Cu Kα, 1.54184 Å. Input: a structure optimized by DFT (GGA-PBE).
Peak positions follow from Bragg's law for the DFT cell and can differ from measured ones.

Main lines, low angle first (5° ≤ 2θ ≤ 70°):
2θ = 8.96°, I = 171; 2θ = 15.55°, I = 297; 2θ = 29.37°, I = 1000; 2θ = 34.17°, I = 218; 2θ = 37.04°, I = 597; 2θ = 39.81°, I = 264

Atomic structure:
```
data_K2Cd7Hg12
_chemical_formula_sum 'K2 Cd7 Hg12'
_space_group_name_H-M_alt 'P 1'
_space_group_IT_number 1
_cell_length_a 11.3978
_cell_length_b 11.3978
_cell_length_c 5.2484
_cell_angle_alpha 90.00
_cell_angle_beta 90.00
_cell_angle_gamma 120.00
loop_
_space_group_symop_operation_xyz
'x,y,z'
loop_
_atom_site_label
_atom_site_type_symbol
_atom_site_fract_x
_atom_site_fract_y
_atom_site_fract_z
K1 K 0.3333 0.6667 0.2901
K2 K 0.6667 0.3333 0.7099
Cd1 Cd 0.0000 0.0000 0.0000
Cd2 Cd 0.1206 0.3839 0.8234
Cd3 Cd 0.2633 0.8794 0.8234
Cd4 Cd 0.3839 0.2633 0.1766
Cd5 Cd 0.6161 0.7367 0.8234
Cd6 Cd 0.7367 0.1206 0.1766
Cd7 Cd 0.8794 0.6161 0.1766
Hg1 Hg 0.0493 0.5963 0.7330
Hg2 Hg 0.1237 0.2556 0.3195
Hg3 Hg 0.1319 0.8763 0.3195
Hg4 Hg 0.2556 0.1319 0.6805
Hg5 Hg 0.4037 0.4530 0.7330
Hg6 Hg 0.4530 0.0493 0.2670
Hg7 Hg 0.5470 0.9507 0.7330
Hg8 Hg 0.5963 0.5470 0.2670
Hg9 Hg 0.7444 0.8681 0.3195
Hg10 Hg 0.8681 0.1237 0.6805
Hg11 Hg 0.8763 0.7444 0.6805
Hg12 Hg 0.9507 0.4037 0.2670
```

---

Record 9
# KCd4Hg12
Theoretical powder X-ray diffraction pattern, Cu Kα, 1.54184 Å. Input: a structure optimized by DFT (GGA-PBE).
Peak positions follow from Bragg's law for the DFT cell and can differ from measured ones.

Main lines, low angle first (5° ≤ 2θ ≤ 70°):
2θ = 27.63°, I = 1000; 2θ = 32.82°, I = 268; 2θ = 39.47°, I = 282; 2θ = 43.42°, I = 154; 2θ = 45.29°, I = 431; 2θ = 61.61°, I = 143

Atomic structure:
```
data_KCd4Hg12
_chemical_formula_sum 'K1 Cd4 Hg12'
_space_group_name_H-M_alt 'P 1'
_space_group_IT_number 1
_cell_length_a 8.8447
_cell_length_b 8.8447
_cell_length_c 8.8447
_cell_angle_alpha 109.50
_cell_angle_beta 109.50
_cell_angle_gamma 109.50
loop_
_space_group_symop_operation_xyz
'x,y,z'
loop_
_atom_site_label
_atom_site_type_symbol
_atom_site_fract_x
_atom_site_fract_y
_atom_site_fract_z
K1 K 0.0000 0.0000 0.0000
Cd1 Cd 0.0000 0.0000 0.5000
Cd2 Cd 0.0000 0.5000 0.0000
Cd3 Cd 0.5000 0.0000 0.0000
Cd4 Cd 0.5000 0.5000 0.5000
Hg1 Hg 0.1493 0.3522 0.5015
Hg2 Hg 0.1491 0.6477 0.7970
Hg3 Hg 0.2030 0.8509 0.3523
Hg4 Hg 0.3523 0.2030 0.8509
Hg5 Hg 0.3522 0.5015 0.1493
Hg6 Hg 0.4985 0.8507 0.6478
Hg7 Hg 0.5015 0.1493 0.3522
Hg8 Hg 0.6478 0.4985 0.8507
Hg9 Hg 0.6477 0.7970 0.1491
Hg10 Hg 0.7970 0.1491 0.6477
Hg11 Hg 0.8509 0.3523 0.2030
Hg12 Hg 0.8507 0.6478 0.4985
```

---

Record 10
# K5Cd2Hg12
Theoretical powder X-ray diffraction pattern, Cu Kα, 1.54184 Å. Input: a structure optimized by DFT (GGA-PBE).
Peak positions follow from Bragg's law for the DFT cell and can differ from measured ones.

Main lines, low angle first (5° ≤ 2θ ≤ 70°):
2θ = 20.06°, I = 871; 2θ = 29.84°, I = 855; 2θ = 31.28°, I = 799; 2θ = 32.46°, I = 873; 2θ = 34.68°, I = 1000; 2θ = 37.54°, I = 831

Atomic structure:
```
data_K5Cd2Hg12
_chemical_formula_sum 'K5 Cd2 Hg12'
_space_group_name_H-M_alt 'P 1'
_space_group_IT_number 1
_cell_length_a 9.7708
_cell_length_b 9.7708
_cell_length_c 8.3443
_cell_angle_alpha 92.06
_cell_angle_beta 92.06
_cell_angle_gamma 49.84
loop_
_space_group_symop_operation_xyz
'x,y,z'
loop_
_atom_site_label
_atom_site_type_symbol
_atom_site_fract_x
_atom_site_fract_y
_atom_site_fract_z
K1 K 0.0000 0.0000 0.0000
K2 K 0.2437 0.2437 0.9334
K3 K 0.2998 0.2998 0.4688
K4 K 0.7002 0.7002 0.5312
K5 K 0.7563 0.7563 0.0666
Cd1 Cd 0.3003 0.6997 0.5000
Cd2 Cd 0.6997 0.3003 0.5000
Hg1 Hg 0.0452 0.6719 0.7391
Hg2 Hg 0.0997 0.0997 0.6019
Hg3 Hg 0.2045 0.5839 0.1594
Hg4 Hg 0.3281 0.9548 0.2609
Hg5 Hg 0.4161 0.7955 0.8406
Hg6 Hg 0.4451 0.4451 0.8140
Hg7 Hg 0.5549 0.5549 0.1860
Hg8 Hg 0.5839 0.2045 0.1594
Hg9 Hg 0.6719 0.0452 0.7391
Hg10 Hg 0.7955 0.4161 0.8406
Hg11 Hg 0.9003 0.9003 0.3981
Hg12 Hg 0.9548 0.3281 0.2609
```

---

Record 11
# K2Cd2Hg
Theoretical powder X-ray diffraction pattern, Cu Kα, 1.54184 Å. Input: a structure optimized by DFT (GGA-PBE).
Peak positions follow from Bragg's law for the DFT cell and can differ from measured ones.

Main lines, low angle first (5° ≤ 2θ ≤ 70°):
2θ = 17.26°, I = 435; 2θ = 18.75°, I = 906; 2θ = 28.69°, I = 593; 2θ = 29.42°, I = 797; 2θ = 32.40°, I = 476; 2θ = 32.81°, I = 1000

Atomic structure:
```
data_K2Cd2Hg
_chemical_formula_sum 'K4 Cd4 Hg2'
_space_group_name_H-M_alt 'P 1'
_space_group_IT_number 1
_cell_length_a 6.6609
_cell_length_b 6.6609
_cell_length_c 10.9900
_cell_angle_alpha 108.86
_cell_angle_beta 108.86
_cell_angle_gamma 48.35
loop_
_space_group_symop_operation_xyz
'x,y,z'
loop_
_atom_site_label
_atom_site_type_symbol
_atom_site_fract_x
_atom_site_fract_y
_atom_site_fract_z
K1 K 0.1177 0.1177 0.3919
K2 K 0.1735 0.1735 0.0484
K3 K 0.8265 0.8265 0.9516
K4 K 0.8823 0.8823 0.6081
Cd1 Cd 0.4125 0.4125 0.3586
Cd2 Cd 0.4841 0.4841 0.8578
Cd3 Cd 0.5159 0.5159 0.1422
Cd4 Cd 0.5875 0.5875 0.6414
Hg1 Hg 0.2121 0.2121 0.7340
Hg2 Hg 0.7879 0.7879 0.2660
```

---

Record 12
# K3Cd3Hg8
Theoretical powder X-ray diffraction pattern, Cu Kα, 1.54184 Å. Input: a structure optimized by DFT (GGA-PBE).
Peak positions follow from Bragg's law for the DFT cell and can differ from measured ones.

Main lines, low angle first (5° ≤ 2θ ≤ 70°):
2θ = 18.84°, I = 492; 2θ = 30.15°, I = 469; 2θ = 31.20°, I = 613; 2θ = 33.39°, I = 440; 2θ = 33.77°, I = 743; 2θ = 39.31°, I = 1000

Atomic structure:
```
data_K3Cd3Hg8
_chemical_formula_sum 'K3 Cd3 Hg8'
_space_group_name_H-M_alt 'P 1'
_space_group_IT_number 1
_cell_length_a 9.5580
_cell_length_b 9.5580
_cell_length_c 9.5580
_cell_angle_alpha 147.75
_cell_angle_beta 115.36
_cell_angle_gamma 74.09
loop_
_space_group_symop_operation_xyz
'x,y,z'
loop_
_atom_site_label
_atom_site_type_symbol
_atom_site_fract_x
_atom_site_fract_y
_atom_site_fract_z
K1 K 0.0000 0.0000 0.0000
K2 K 0.2814 0.2814 0.0000
K3 K 0.7186 0.7186 0.0000
Cd1 Cd 0.3428 0.5000 0.8428
Cd2 Cd 0.5000 0.0000 0.5000
Cd3 Cd 0.6572 0.5000 0.1572
Hg1 Hg 0.0029 0.6516 0.3512
Hg2 Hg 0.1572 0.8556 0.3016
Hg3 Hg 0.3004 0.6516 0.6488
Hg4 Hg 0.4461 0.1444 0.3016
Hg5 Hg 0.5539 0.8556 0.6984
Hg6 Hg 0.6996 0.3484 0.3512
Hg7 Hg 0.8428 0.1444 0.6984
Hg8 Hg 0.9971 0.3484 0.6488
```